Structure and computed PXRD pattern of Li11Fe5O2F22 (DFT lattice parameters and positions (GGA+U); Cu Kα, 1.54184 Å).
Intensities are scaled so that the largest is 100.

Crystal structure
```
data_Li11Fe5O2F22
_chemical_formula_sum 'Li11 Fe5 O2 F22'
_cell_length_a 5.217
_cell_length_b 8.787
_cell_length_c 9.497
_cell_angle_alpha 90.49
_cell_angle_beta 90.25
_cell_angle_gamma 90.12
_symmetry_space_group_name_H-M 'P 1'
_symmetry_Int_Tables_number 1
loop_
_symmetry_equiv_pos_as_xyz
'x,y,z'
loop_
_atom_site_label
_atom_site_type_symbol
_atom_site_fract_x
_atom_site_fract_y
_atom_site_fract_z
Li1 Li 0.000 0.000 0.000
Li2 Li 0.001 0.996 0.587
Li3 Li 0.146 0.487 0.089
Li4 Li 0.162 0.180 0.277
Li5 Li 0.490 0.500 0.779
Li6 Li 0.501 0.189 0.587
Li7 Li 0.515 0.194 0.992
Li8 Li 0.643 0.684 0.085
Li9 Li 0.653 0.693 0.504
Li10 Li 0.657 0.004 0.278
Li11 Li 0.993 0.678 0.787
Fe1 Fe 0.014 0.319 0.777
Fe2 Fe 0.149 0.477 0.503
Fe3 Fe 0.163 0.826 0.276
Fe4 Fe 0.491 0.859 0.779
Fe5 Fe 0.676 0.350 0.277
O1 O 0.289 0.356 0.649
O2 O 0.984 0.347 0.379
F1 F 0.015 0.676 0.412
F2 F 0.150 0.500 0.889
F3 F 0.162 0.178 0.908
F4 F 0.174 0.844 0.881
F5 F 0.299 0.997 0.164
F6 F 0.301 0.672 0.153
F7 F 0.346 0.004 0.650
F8 F 0.350 0.681 0.657
F9 F 0.366 0.329 0.152
F10 F 0.482 0.837 0.380
F11 F 0.490 0.507 0.405
F12 F 0.501 0.184 0.385
F13 F 0.649 0.686 0.884
F14 F 0.652 0.001 0.906
F15 F 0.687 0.345 0.874
F16 F 0.795 0.834 0.656
F17 F 0.800 0.506 0.148
F18 F 0.804 0.173 0.157
F19 F 0.841 0.172 0.654
F20 F 0.855 0.845 0.157
F21 F 0.859 0.516 0.647
F22 F 0.997 0.990 0.388
```

Top 10 peaks for 10° ≤ 2θ ≤ 80°, by intensity:
index	two_theta	I (rel.)
-1 1 1	21.9	100
1 1 1	22.0	62
0 0 2	18.7	55
0 2 -2	27.5	55
0 2 0	20.2	49
1 -3 2	40.0	40
1 1 -2	27.3	32
1 -3 3	45.5	29
0 2 2	27.8	28
1 3 2	40.3	28